Diffraction record for Sc3Ni11Ge4. The X-ray powder pattern is calculated, not measured: it uses a DFT-relaxed cell (GGA-PBE, the Materials Project) and Cu Kα.
Intensities are scaled so that the largest is 100.

Largest 12 diffraction maxima, sorted by position, 10 to 90 degrees two-theta:
d [Å], I/Imax, hkl
5.438, 31, 1 0 1
4.216, 21, 0 0 2
2.283, 22, 3 0 1
2.205, 78, 2 0 3
2.067, 12, 3 0 2
2.054, 100, 2 2 0
1.943, 20, 2 1 3
1.846, 49, 2 2 2
1.813, 30, 2 0 4
1.213, 21, 4 2 3
1.186, 12, 6 0 0
1.142, 13, 6 0 2

Cell and atoms:
Cell lengths 8.2161, 8.2161, 8.4311 Å; angles 90.00, 90.00, 120.00 degrees
Space group P6_3/mmc (No. 194)
Unique sites:
1 Sc 0.1855 0.3711 0.2500 [6 per cell]
2 Ni 0.1320 0.5660 0.7500 [6 per cell]
3 Ni 0.1610 0.3219 0.5899 [12 per cell]
4 Ni 0.3333 0.6667 0.0119 [4 per cell]
5 Ge 0.0000 0.0000 0.0000 [2 per cell]
6 Ge 0.0000 0.5000 0.0000 [6 per cell]



Diffraction record for SiNi6Ge. The X-ray powder pattern is calculated, not measured: it uses a DFT-relaxed cell (GGA-PBE, the Materials Project) and Cu Kα.
Intensities are scaled so that the largest is 100.

Largest 12 diffraction maxima, sorted by position, 10 to 90 degrees two-theta:
d [Å], I/Imax, hkl
7.049, 2, 0 0 1
3.165, 3, 1 0 1
2.500, 1, 1 1 0
2.360, 2, 1 1 1
2.350, 1, 0 0 3
2.042, 100, 1 1 2
1.958, 1, 1 0 3
1.771, 31, 2 0 0
1.762, 15, 0 0 4
1.414, 1, 2 0 3
1.252, 9, 2 2 0
1.249, 18, 2 0 4

Cell and atoms:
Cell lengths 3.5420, 3.5420, 7.0493 Å; angles 90.00, 90.00, 90.00 degrees
Space group P4/mmm (No. 123)
Unique sites:
1 Si 0.0000 0.0000 0.0000 [1 per cell]
2 Ni 0.0000 0.5000 0.2427 [4 per cell]
3 Ni 0.5000 0.5000 0.0000 [1 per cell]
4 Ni 0.5000 0.5000 0.5000 [1 per cell]
5 Ge 0.0000 0.0000 0.5000 [1 per cell]



Diffraction record for Sm3NiGe2. The X-ray powder pattern is calculated, not measured: it uses a DFT-relaxed cell (GGA-PBE, the Materials Project) and Cu Kα.
Intensities are scaled so that the largest is 100.

Largest 12 diffraction maxima, sorted by position, 10 to 90 degrees two-theta:
d [Å], I/Imax, hkl
3.293, 38, 2 1 1
3.215, 44, 3 0 2
2.949, 57, 2 1 2
2.844, 100, 0 1 3
2.823, 38, 4 0 1
2.783, 84, 1 0 4
2.763, 31, 1 1 3
2.567, 98, 3 1 2
2.353, 42, 4 1 1
2.201, 27, 2 1 4
2.131, 86, 0 2 0
1.802, 29, 5 1 3

Cell and atoms:
Cell lengths 11.6504, 4.2594, 11.4640 Å; angles 90.00, 90.00, 90.00 degrees
Space group Pnma (No. 62)
Unique sites:
1 Sm 0.0580 0.2500 0.1255 [4 per cell]
2 Sm 0.1186 0.7500 0.5595 [4 per cell]
3 Sm 0.2145 0.2500 0.8031 [4 per cell]
4 Ni 0.1292 0.2500 0.3663 [4 per cell]
5 Ge 0.0248 0.7500 0.3136 [4 per cell]
6 Ge 0.1957 0.7500 0.9956 [4 per cell]



Diffraction record for SmNiGe3. The X-ray powder pattern is calculated, not measured: it uses a DFT-relaxed cell (GGA-PBE, the Materials Project) and Cu Kα.
Intensities are scaled so that the largest is 100.

Largest 12 diffraction maxima, sorted by position, 10 to 90 degrees two-theta:
d [Å], I/Imax, hkl
2.732, 36, 0 6 1
2.716, 100, 1 3 1
2.490, 7, 1 7 0
2.432, 12, 1 5 1
2.134, 8, 1 7 1
2.092, 22, 1 9 0
2.071, 50, 2 0 0
1.650, 21, 2 6 1
1.472, 14, 1 9 2
1.464, 16, 2 0 2
1.303, 9, 1 15 1
1.289, 19, 3 3 1

Cell and atoms:
Cell lengths 4.1389, 21.8258, 4.1432 Å; angles 90.00, 90.00, 90.00 degrees
Space group Cmmm (No. 65)
Unique sites:
1 Sm 0.0000 0.1689 0.0000 [4 per cell]
2 Ni 0.0000 0.3904 0.5000 [4 per cell]
3 Ge 0.0000 0.0571 0.5000 [4 per cell]
4 Ge 0.0000 0.2837 0.5000 [4 per cell]
5 Ge 0.0000 0.4430 0.0000 [4 per cell]



Diffraction record for SmNiGe2. The X-ray powder pattern is calculated, not measured: it uses a DFT-relaxed cell (GGA-PBE, the Materials Project) and Cu Kα.
Intensities are scaled so that the largest is 100.

Largest 12 diffraction maxima, sorted by position, 10 to 90 degrees two-theta:
d [Å], I/Imax, hkl
2.928, 21, 1 1 1
2.624, 100, 1 3 1
2.612, 40, 1 5 0
2.327, 29, 0 6 1
2.114, 29, 0 0 2
2.091, 30, 2 0 0
1.874, 13, 0 8 1
1.698, 13, 1 9 0
1.643, 19, 1 5 2
1.555, 18, 2 6 1
1.487, 19, 2 0 2
1.288, 15, 3 3 1

Cell and atoms:
Cell lengths 4.1825, 16.7233, 4.2285 Å; angles 90.00, 90.00, 90.00 degrees
Space group Cmcm (No. 63)
Unique sites:
1 Sm 0.0000 0.1076 0.2500 [4 per cell]
2 Ni 0.0000 0.3193 0.2500 [4 per cell]
3 Ge 0.0000 0.2510 0.7500 [4 per cell]
4 Ge 0.0000 0.4581 0.2500 [4 per cell]



Diffraction record for SmNi2Ge2. The X-ray powder pattern is calculated, not measured: it uses a DFT-relaxed cell (GGA-PBE, the Materials Project) and Cu Kα.
Intensities are scaled so that the largest is 100.

Largest 12 diffraction maxima, sorted by position, 10 to 90 degrees two-theta:
d [Å], I/Imax, hkl
2.909, 28, 1 1 0
2.565, 100, 1 0 3
2.504, 96, 1 1 2
2.057, 68, 2 0 0
1.879, 9, 1 1 4
1.776, 26, 1 0 5
1.605, 47, 2 1 3
1.455, 22, 2 2 0
1.429, 21, 1 1 6
1.344, 21, 2 1 5
1.265, 11, 3 0 3
1.258, 20, 3 1 2

Cell and atoms:
Cell lengths 4.1141, 4.1141, 9.8412 Å; angles 90.00, 90.00, 90.00 degrees
Space group I4/mmm (No. 139)
Unique sites:
1 Sm 0.0000 0.0000 0.0000 [2 per cell]
2 Ni 0.0000 0.5000 0.2500 [4 per cell]
3 Ge 0.0000 0.0000 0.3695 [4 per cell]